Simulated powder diffractogram
Compound: Rb4Er3CoO8
Radiation: Cu Kα
Structure: a crystal structure in Alexandria, relaxed with GGA+U

Top 10 peaks for 2θ = 10–90°, most intense first:
2θ = 35.69°, intensity 100, (2 2 -2); 2θ = 31.76°, intensity 80, (2 2 0); 2θ = 27.44°, intensity 69, (0 0 2); 2θ = 48.44°, intensity 54, (2 2 2); 2θ = 35.34°, intensity 51, (4 0 0); 2θ = 31.58°, intensity 41, (4 0 -2); 2θ = 13.62°, intensity 38, (0 0 1); 2θ = 53.68°, intensity 31, (6 2 -2); 2θ = 56.68°, intensity 30, (2 2 -4); 2θ = 66.35°, intensity 15, (4 4 0)

```
data_Rb4Er3CoO8
_chemical_formula_sum 'Rb8 Er6 Co2 O16'
_symmetry_space_group_name_H-M 'C 1 2/m 1'
_symmetry_Int_Tables_number 12
_symmetry_space_group_name_Hall '-C 2y'
_cell_length_a 11.8623
_cell_length_b 6.7730
_cell_length_c 7.5919
_cell_angle_alpha 90.00
_cell_angle_beta 121.09
_cell_angle_gamma 90.00
loop_
_atom_site_label
_atom_site_type_symbol
_atom_site_fract_x
_atom_site_fract_y
_atom_site_fract_z
Rb1 Rb 0.0000 0.0000 0.0000
Rb2 Rb 0.0000 0.5000 0.0000
Rb3 Rb 0.2500 0.2500 0.0000
Er1 Er 0.0000 0.0000 0.5000
Er2 Er 0.2500 0.2500 0.5000
Co1 Co 0.0000 0.5000 0.5000
O1 O 0.0231 0.2652 0.3330
O2 O 0.2237 0.0000 0.6751
O3 O 0.2288 0.5000 0.6809
```